(1)
Structure and simulated X-ray diffraction stick pattern of Dy3Ho2Th3 (a DFT-relaxed cell (PBE, Alexandria); Cu Kα).
Lines closer than 0.1° are merged.

Structural model:
Unit cell a=5.010 b=5.028 c=10.071 alpha=90.00 beta=90.00 gamma=90.00
Space group Pmmm (No. 47)
Unique sites:
Dy  0.000  0.000  0.000 [1 per cell]
Dy  0.000  0.000  0.500 [1 per cell]
Dy  0.500  0.500  0.000 [1 per cell]
Ho  0.500  0.000  0.251 [2 per cell]
Th  0.000  0.500  0.250 [2 per cell]
Th  0.500  0.500  0.500 [1 per cell]

Largest 6 diffraction maxima, sorted by position, 15° ≤ 2θ ≤ 90°:
hkl 1 1 2, 2θ = 30.82°, d = 2.901 Å, I = 100
hkl 0 2 0, 2θ = 35.69°, d = 2.516 Å, I = 34
hkl 2 0 0, 2θ = 35.85°, d = 2.505 Å, I = 17
hkl 2 0 4, 2θ = 51.41°, d = 1.777 Å, I = 24
hkl 1 3 2, 2θ = 61.11°, d = 1.516 Å, I = 29
hkl 3 1 2, 2θ = 61.32°, d = 1.512 Å, I = 14

=====

(2)
Structure and simulated X-ray diffraction stick pattern of Te (a DFT-relaxed cell (PBE, Alexandria); Cu Kα).
Lines closer than 0.1° are merged.

Structural model:
Unit cell a=12.1458 b=12.1458 c=5.1646 alpha=90.00 beta=90.00 gamma=120.00
Space group R-3 (No. 148, hexagonal axes)
Unique sites:
Te  0.0394  0.8145  0.1418 [18 per cell]

Largest 6 diffraction maxima, sorted by position, 15° ≤ 2θ ≤ 90°:
hkl 1 0 1, 2θ = 19.14°, d = 4.636 Å, I = 20
hkl 3 -1 1, 2θ = 28.33°, d = 3.150 Å, I = 100
hkl 4 1 0, 2θ = 39.25°, d = 2.295 Å, I = 40
hkl 1 2 2, 2θ = 41.71°, d = 2.166 Å, I = 36
hkl 2 4 1, 2θ = 49.11°, d = 1.855 Å, I = 23
hkl 8 -5 1, 2θ = 64.59°, d = 1.443 Å, I = 16

=====

(3)
Structure and simulated X-ray diffraction stick pattern of Cs2Rb2Hg4Pd (a DFT-relaxed cell (PBE, Alexandria); Cu Kα).
Lines closer than 0.1° are merged.

Structural model:
Unit cell a=8.746 b=8.746 c=10.271 alpha=90.00 beta=90.00 gamma=90.00
Space group I4/mmm (No. 139)
Unique sites:
Cs  0.000  0.500  0.250 [4 per cell]
Rb  0.000  0.000  0.185 [4 per cell]
Hg  0.222  0.222  0.500 [8 per cell]
Pd  0.000  0.000  0.500 [2 per cell]

Largest 6 diffraction maxima, sorted by position, 15° ≤ 2θ ≤ 90°:
hkl 0 0 2, 2θ = 17.27°, d = 5.135 Å, I = 18
hkl 2 0 2, 2θ = 26.78°, d = 3.329 Å, I = 100
hkl 2 2 0, 2θ = 28.87°, d = 3.092 Å, I = 62
hkl 4 0 0, 2θ = 41.29°, d = 2.186 Å, I = 20
hkl 2 2 4, 2θ = 45.90°, d = 1.977 Å, I = 44
hkl 4 2 2, 2θ = 49.90°, d = 1.828 Å, I = 25

=====

(4)
Structure and simulated X-ray diffraction stick pattern of KNpTe3Pt (a DFT-relaxed cell (PBE, Alexandria); Cu Kα).
Lines closer than 0.1° are merged.

Structural model:
Unit cell a=9.638 b=4.320 c=10.371 alpha=90.00 beta=111.25 gamma=90.00
Space group P2_1/m (No. 11)
Unique sites:
K  0.210  0.250  0.242 [2 per cell]
Np  0.310  0.750  0.838 [2 per cell]
Te  0.101  0.250  0.862 [2 per cell]
Te  0.213  0.750  0.527 [2 per cell]
Te  0.457  0.750  0.158 [2 per cell]
Pt  0.093  0.250  0.595 [2 per cell]

Largest 6 diffraction maxima, sorted by position, 15° ≤ 2θ ≤ 90°:
hkl 0 0 3, 2θ = 27.68°, d = 3.222 Å, I = 75
hkl 2 1 -1, 2θ = 27.81°, d = 3.208 Å, I = 100
hkl 2 1 0, 2θ = 28.67°, d = 3.113 Å, I = 98
hkl 1 1 -3, 2θ = 33.19°, d = 2.699 Å, I = 71
hkl 3 1 -1, 2θ = 34.83°, d = 2.576 Å, I = 57
hkl 2 1 -4, 2θ = 41.13°, d = 2.195 Å, I = 92

=====

(5)
Structure and simulated X-ray diffraction stick pattern of KTa2Ir (a DFT-relaxed cell (PBE, Alexandria); Cu Kα).
Lines closer than 0.1° are merged.

Structural model:
Unit cell a=2.9205 b=2.9205 c=33.1527 alpha=90.00 beta=90.00 gamma=120.00
Space group R-3m (No. 166, hexagonal axes)
Unique sites:
K  0.0000  0.0000  0.0000 [3 per cell]
Ta  0.0000  0.0000  0.2340 [6 per cell]
Ir  0.0000  0.0000  0.5000 [3 per cell]

Largest 6 diffraction maxima, sorted by position, 15° ≤ 2θ ≤ 90°:
hkl 1 0 4, 2θ = 37.17°, d = 2.419 Å, I = 100
hkl 1 0 7, 2θ = 40.43°, d = 2.231 Å, I = 37
hkl 0 0 15, 2θ = 40.83°, d = 2.210 Å, I = 21
hkl 0 1 8, 2θ = 41.84°, d = 2.159 Å, I = 53
hkl 0 1 11, 2θ = 46.90°, d = 1.937 Å, I = 37
hkl 1 1 0, 2θ = 63.73°, d = 1.460 Å, I = 23

=====

(6)
Structure and simulated X-ray diffraction stick pattern of La5Nd3 (a DFT-relaxed cell (PBE, Alexandria); Cu Kα).
Lines closer than 0.1° are merged.

Structural model:
Unit cell a=10.549 b=10.463 c=10.462 alpha=90.00 beta=90.00 gamma=90.00
Space group Amm2 (No. 38)
Unique sites:
La  0.000  0.000  0.000 [2 per cell]
La  0.000  0.249  0.249 [4 per cell]
La  0.249  0.000  0.749 [4 per cell]
La  0.251  0.250  0.499 [8 per cell]
La  0.500  0.000  0.499 [2 per cell]
Nd  0.000  0.000  0.497 [2 per cell]
Nd  0.253  0.000  0.249 [4 per cell]
Nd  0.500  0.000  0.998 [2 per cell]
Nd  0.500  0.250  0.248 [4 per cell]

Largest 6 diffraction maxima, sorted by position, 15° ≤ 2θ ≤ 90°:
hkl 2 2 2, 2θ = 29.49°, d = 3.028 Å, I = 100
hkl 4 0 0, 2θ = 33.99°, d = 2.637 Å, I = 17
hkl 0 4 0, 2θ = 34.28°, d = 2.616 Å, I = 34
hkl 4 4 0, 2θ = 49.05°, d = 1.857 Å, I = 24
hkl 6 2 2, 2θ = 58.09°, d = 1.588 Å, I = 15
hkl 2 6 2, 2θ = 58.47°, d = 1.578 Å, I = 29

=====

(7)
Structure and simulated X-ray diffraction stick pattern of RbEuCd2 (a DFT-relaxed cell (PBE, Alexandria); Cu Kα).
Lines closer than 0.1° are merged.

Structural model:
Unit cell a=6.017 b=6.017 c=3.923 alpha=90.00 beta=90.00 gamma=90.00
Space group P4/mmm (No. 123)
Unique sites:
Rb  0.000  0.000  0.000 [1 per cell]
Eu  0.500  0.500  0.000 [1 per cell]
Cd  0.000  0.500  0.500 [2 per cell]

Largest 6 diffraction maxima, sorted by position, 15° ≤ 2θ ≤ 90°:
hkl 2 0 0, 2θ = 29.69°, d = 3.009 Å, I = 56
hkl 1 1 1, 2θ = 31.01°, d = 2.884 Å, I = 100
hkl 2 2 0, 2θ = 42.49°, d = 2.127 Å, I = 21
hkl 3 1 1, 2θ = 53.53°, d = 1.712 Å, I = 42
hkl 2 0 2, 2θ = 55.96°, d = 1.643 Å, I = 18
hkl 2 2 2, 2θ = 64.63°, d = 1.442 Å, I = 12

=====

(8)
Structure and simulated X-ray diffraction stick pattern of Pu2MgO11 (a DFT-relaxed cell (PBE, Alexandria); Cu Kα).
Lines closer than 0.1° are merged.

Structural model:
Unit cell a=12.643 b=8.477 c=10.056 alpha=90.00 beta=122.03 gamma=90.00
Space group Cc (No. 9)
Unique sites:
Pu  0.000  0.035  0.000 [4 per cell]
Pu  0.461  0.080  0.872 [4 per cell]
Mg  0.235  0.175  0.423 [4 per cell]
O  0.001  0.296  0.853 [4 per cell]
O  0.050  0.457  0.579 [4 per cell]
O  0.102  0.173  0.161 [4 per cell]
O  0.107  0.352  0.386 [4 per cell]
O  0.140  0.060  0.520 [4 per cell]
O  0.316  0.006  0.861 [4 per cell]
O  0.355  0.360  0.454 [4 per cell]
O  0.374  0.114  0.658 [4 per cell]
O  0.408  0.363  0.875 [4 per cell]
O  0.476  0.256  0.211 [4 per cell]
O  0.491  0.416  0.217 [4 per cell]

Largest 6 diffraction maxima, sorted by position, 15° ≤ 2θ ≤ 90°:
hkl 2 0 0, 2θ = 16.54°, d = 5.359 Å, I = 100
hkl 2 0 -2, 2θ = 18.49°, d = 4.799 Å, I = 43
hkl 1 1 -2, 2θ = 20.73°, d = 4.286 Å, I = 37
hkl 0 0 2, 2θ = 20.84°, d = 4.262 Å, I = 30
hkl 2 2 -1, 2θ = 25.35°, d = 3.513 Å, I = 32
hkl 4 0 -2, 2θ = 28.38°, d = 3.145 Å, I = 48

=====

(9)
Structure and simulated X-ray diffraction stick pattern of Rb3NaMn2Cl8 (a DFT-relaxed cell (PBE, Alexandria); Cu Kα).
Lines closer than 0.1° are merged.

Structural model:
Unit cell a=7.4471 b=7.4471 c=9.3588 alpha=90.00 beta=90.00 gamma=120.00
Space group P-3m1 (No. 164)
Unique sites:
Rb  0.0000  0.0000  0.0000 [1 per cell]
Rb  0.3333  0.6667  0.6230 [2 per cell]
Na  0.0000  0.0000  0.5000 [1 per cell]
Mn  0.3333  0.6667  0.2055 [2 per cell]
Cl  0.1677  0.3353  0.3141 [6 per cell]
Cl  0.3333  0.6667  0.9608 [2 per cell]

Largest 6 diffraction maxima, sorted by position, 15° ≤ 2θ ≤ 90°:
hkl 0 1 2, 2θ = 23.49°, d = 3.787 Å, I = 33
hkl 1 1 0, 2θ = 23.90°, d = 3.724 Å, I = 100
hkl 0 2 1, 2θ = 29.29°, d = 3.049 Å, I = 40
hkl 1 0 3, 2θ = 31.87°, d = 2.808 Å, I = 36
hkl 2 0 2, 2θ = 33.76°, d = 2.655 Å, I = 68
hkl 2 2 0, 2θ = 48.92°, d = 1.862 Å, I = 38

=====

(10)
Structure and simulated X-ray diffraction stick pattern of Zr5Zn3 (a DFT-relaxed cell (PBE, Alexandria); Cu Kα).
Lines closer than 0.1° are merged.

Structural model:
Unit cell a=5.671 b=5.697 c=5.787 alpha=60.64 beta=79.86 gamma=82.72
Space group P1 (No. 1)
Unique sites:
Zr  0.000  0.000  0.000 [1 per cell]
Zr  0.104  0.060  0.457 [1 per cell]
Zr  0.344  0.585  0.358 [1 per cell]
Zr  0.531  0.051  0.779 [1 per cell]
Zr  0.784  0.582  0.641 [1 per cell]
Zn  0.261  0.525  0.891 [1 per cell]
Zn  0.576  0.144  0.227 [1 per cell]
Zn  0.828  0.514  0.157 [1 per cell]

Largest 6 diffraction maxima, sorted by position, 15° ≤ 2θ ≤ 90°:
hkl 2 1 1, 2θ = 34.14°, d = 2.627 Å, I = 16
hkl 0 2 0, 2θ = 36.22°, d = 2.480 Å, I = 100
hkl 1 0 2, 2θ = 37.44°, d = 2.402 Å, I = 65
hkl 1 2 2, 2θ = 37.57°, d = 2.394 Å, I = 46
hkl 2 -1 0, 2θ = 37.75°, d = 2.383 Å, I = 54
hkl -1 1 2, 2θ = 37.94°, d = 2.371 Å, I = 52

=====

(11)
Structure and simulated X-ray diffraction stick pattern of RbNaPbO2 (a DFT-relaxed cell (PBE, Alexandria); Cu Kα).
Lines closer than 0.1° are merged.

Structural model:
Unit cell a=12.066 b=4.141 c=9.044 alpha=90.00 beta=104.47 gamma=90.00
Space group C2/m (No. 12)
Unique sites:
Rb  0.165  0.000  0.111 [4 per cell]
Na  0.200  0.000  0.571 [4 per cell]
Pb  0.042  0.500  0.705 [4 per cell]
O  0.127  0.500  0.514 [4 per cell]
O  0.151  0.000  0.800 [4 per cell]

Largest 6 diffraction maxima, sorted by position, 15° ≤ 2θ ≤ 90°:
hkl 2 0 -1, 2θ = 16.00°, d = 5.541 Å, I = 73
hkl 1 1 -1, 2θ = 24.18°, d = 3.681 Å, I = 90
hkl 2 0 2, 2θ = 28.36°, d = 3.147 Å, I = 90
hkl 1 1 -2, 2θ = 29.35°, d = 3.043 Å, I = 83
hkl 2 0 -3, 2θ = 30.62°, d = 2.919 Å, I = 74
hkl 3 1 0, 2θ = 31.54°, d = 2.837 Å, I = 100

=====

(12)
Structure and simulated X-ray diffraction stick pattern of PmHoNiRh (a DFT-relaxed cell (PBE, Alexandria); Cu Kα).
Lines closer than 0.1° are merged.

Structural model:
Unit cell a=4.123 b=3.862 c=10.731 alpha=90.00 beta=90.00 gamma=90.00
Space group Amm2 (No. 38)
Unique sites:
Pm  0.000  0.000  0.000 [2 per cell]
Ho  0.500  0.000  0.719 [2 per cell]
Ni  0.500  0.000  0.433 [2 per cell]
Rh  0.000  0.000  0.276 [2 per cell]

Largest 6 diffraction maxima, sorted by position, 15° ≤ 2θ ≤ 90°:
hkl 1 1 1, 2θ = 32.85°, d = 2.726 Å, I = 100
hkl 0 0 4, 2θ = 33.40°, d = 2.683 Å, I = 29
hkl 0 1 3, 2θ = 34.16°, d = 2.624 Å, I = 35
hkl 1 0 4, 2θ = 40.10°, d = 2.249 Å, I = 21
hkl 1 1 3, 2θ = 40.76°, d = 2.214 Å, I = 53
hkl 2 0 0, 2θ = 43.92°, d = 2.061 Å, I = 24